Entry 1:
Simulated powder XRD pattern of La2HoOs for Cu Kα X-rays, from a PBE-relaxed structure.
Lines closer than 0.1° are merged.

Main lines, by angle (2θ = 10–90°):
d [Å]	I/Imax
4.877	58.7
2.965	54.1
2.903	67.1
2.826	95.0
2.706	76.5
2.690	100.0

Lattice parameters (Å, degrees): 7.4640 9.7615 6.4307 90.00 90.00 90.00
Space group Pnma (No. 62)
Inequivalent atoms, fractional coordinates:
La 0.1754 0.0663 0.1719 (multiplicity 8)
Ho 0.0443 0.2500 0.6484 (multiplicity 4)
Os 0.1161 0.7500 0.9537 (multiplicity 4)

=====

Entry 2:
Simulated powder XRD pattern of LaHoOs4 for Cu Kα X-rays, from a PBE-relaxed structure.
Lines closer than 0.1° are merged.

Main lines, by angle (2θ = 10–90°):
d [Å]	I/Imax
2.709	20.5
2.310	100.0
2.212	47.9
1.475	32.9
1.355	29.7
1.155	18.7

Lattice parameters (Å, degrees): 7.6624 7.6624 7.6624 90.00 90.00 90.00
Space group F-43m (No. 216)
Inequivalent atoms, fractional coordinates:
La 0.0000 0.0000 0.0000 (multiplicity 4)
Ho 0.2500 0.2500 0.7500 (multiplicity 4)
Os 0.1247 0.1247 0.3753 (multiplicity 16)

=====

Entry 3:
Simulated powder XRD pattern of La2HoP3 for Cu Kα X-rays, from a PBE-relaxed structure.
Lines closer than 0.1° are merged.

Main lines, by angle (2θ = 10–90°):
d [Å]	I/Imax
3.420	100.0
2.966	84.0
2.955	41.3
2.095	92.1
1.788	33.3
1.710	32.3

Lattice parameters (Å, degrees): 4.1945 4.1945 17.7282 90.00 90.00 90.00
Space group I4/mmm (No. 139)
Inequivalent atoms, fractional coordinates:
La 0.0000 0.0000 0.1648 (multiplicity 4)
Ho 0.0000 0.0000 0.5000 (multiplicity 2)
P 0.0000 0.0000 0.0000 (multiplicity 2)
P 0.0000 0.0000 0.3382 (multiplicity 4)

=====

Entry 4:
Simulated powder XRD pattern of LaHoPd6 for Cu Kα X-rays, from a PBE-relaxed structure.
Lines closer than 0.1° are merged.

Main lines, by angle (2θ = 10–90°):
d [Å]	I/Imax
2.410	100.0
2.094	33.2
2.072	15.7
1.473	20.7
1.262	24.9
1.252	11.7

Lattice parameters (Å, degrees): 4.1890 4.1890 8.2862 90.00 90.00 90.00
Space group P4/mmm (No. 123)
Inequivalent atoms, fractional coordinates:
La 0.0000 0.0000 0.0000 (multiplicity 1)
Ho 0.0000 0.0000 0.5000 (multiplicity 1)
Pd 0.0000 0.5000 0.2583 (multiplicity 4)
Pd 0.5000 0.5000 0.0000 (multiplicity 1)
Pd 0.5000 0.5000 0.5000 (multiplicity 1)

=====

Entry 5:
Simulated powder XRD pattern of La2Pm3Ho5 for Cu Kα X-rays, from a PBE-relaxed structure.
Lines closer than 0.1° are merged.

Main lines, by angle (2θ = 10–90°):
d [Å]	I/Imax
3.005	100.0
2.896	92.1
2.671	43.3
1.863	31.5
1.529	21.1
1.460	22.8

Lattice parameters (Å, degrees): 10.6849 16.5606 9.2751 90.00 125.17 90.00
Space group C2/c (No. 15)
Inequivalent atoms, fractional coordinates:
La 0.1506 0.1265 0.0460 (multiplicity 8)
Pm 0.0000 0.0225 0.2500 (multiplicity 4)
Pm 0.1441 0.3729 0.5444 (multiplicity 8)
Ho 0.0000 0.2221 0.2500 (multiplicity 4)
Ho 0.0000 0.2766 0.7500 (multiplicity 4)
Ho 0.0000 0.4771 0.7500 (multiplicity 4)
Ho 0.2494 0.1332 0.7414 (multiplicity 8)

=====

Entry 6:
Simulated powder XRD pattern of La4Pm2Ho for Cu Kα X-rays, from a PBE-relaxed structure.
Lines closer than 0.1° are merged.

Main lines, by angle (2θ = 10–90°):
d [Å]	I/Imax
2.970	23.0
2.957	46.3
2.912	91.9
2.896	93.3
2.752	100.0
2.702	24.8

Lattice parameters (Å, degrees): 6.6114 8.8809 9.5560 63.36 87.54 85.36
Space group P1 (No. 1)
Inequivalent atoms, fractional coordinates:
La 0.0000 0.0000 0.0000 (multiplicity 1)
La 0.0096 0.8193 0.4100 (multiplicity 1)
La 0.0657 0.4239 0.7498 (multiplicity 1)
La 0.3084 0.6827 0.9688 (multiplicity 1)
La 0.5026 0.9045 0.1873 (multiplicity 1)
La 0.5379 0.1875 0.7636 (multiplicity 1)
La 0.6678 0.1178 0.4278 (multiplicity 1)
La 0.8345 0.5473 0.2537 (multiplicity 1)
Pm 0.1575 0.2506 0.1811 (multiplicity 1)
Pm 0.1679 0.0563 0.6036 (multiplicity 1)
Pm 0.5059 0.6675 0.6051 (multiplicity 1)
Pm 0.6606 0.3501 0.0181 (multiplicity 1)
Ho 0.3292 0.4728 0.3855 (multiplicity 1)
Ho 0.8101 0.7756 0.8127 (multiplicity 1)

=====

Entry 7:
Simulated powder XRD pattern of La3Pm4Ho for Cu Kα X-rays, from a PBE-relaxed structure.
Lines closer than 0.1° are merged.

Main lines, by angle (2θ = 10–90°):
d [Å]	I/Imax
3.035	55.8
2.989	55.4
2.910	100.0
2.518	30.8
2.465	32.2
1.517	28.2

Lattice parameters (Å, degrees): 3.5561 11.9579 13.3265 90.00 90.00 90.00
Space group Immm (No. 71)
Inequivalent atoms, fractional coordinates:
La 0.0000 0.0000 0.0000 (multiplicity 2)
La 0.0000 0.5000 0.2412 (multiplicity 4)
Pm 0.0000 0.2465 0.3667 (multiplicity 8)
Ho 0.0000 0.0000 0.5000 (multiplicity 2)

=====

Entry 8:
Simulated powder XRD pattern of La2Pm2Ho5 for Cu Kα X-rays, from a PBE-relaxed structure.
Lines closer than 0.1° are merged.

Main lines, by angle (2θ = 10–90°):
d [Å]	I/Imax
3.168	74.6
3.001	100.0
2.941	67.8
2.917	63.8
2.739	64.3
2.539	58.8

Lattice parameters (Å, degrees): 15.0383 12.0035 6.7490 90.00 90.00 90.00
Space group Ima2 (No. 46)
Inequivalent atoms, fractional coordinates:
La 0.0000 0.0000 0.0000 (multiplicity 4)
La 0.2500 0.0076 0.0929 (multiplicity 4)
Pm 0.1261 0.5035 0.0487 (multiplicity 8)
Ho 0.0539 0.7409 0.6958 (multiplicity 8)
Ho 0.1416 0.2339 0.8898 (multiplicity 8)
Ho 0.2500 0.7420 0.8994 (multiplicity 4)

=====

Entry 9:
Simulated powder XRD pattern of La2PmHo12 for Cu Kα X-rays, from a PBE-relaxed structure.
Lines closer than 0.1° are merged.

Main lines, by angle (2θ = 10–90°):
d [Å]	I/Imax
2.965	94.9
2.954	50.8
2.872	63.6
2.804	100.0
2.760	92.1
2.684	47.9

Lattice parameters (Å, degrees): 7.1154 11.2167 24.5187 90.00 94.18 90.00
Space group C2/m (No. 12)
Inequivalent atoms, fractional coordinates:
La 0.0669 0.0000 0.2739 (multiplicity 4)
La 0.0673 0.5000 0.2740 (multiplicity 4)
Pm 0.2500 0.0000 0.9999 (multiplicity 4)
Ho 0.0174 0.2500 0.0746 (multiplicity 8)
Ho 0.1116 0.2503 0.4455 (multiplicity 8)
Ho 0.1422 0.0000 0.5709 (multiplicity 4)
Ho 0.1427 0.5000 0.5705 (multiplicity 4)
Ho 0.1682 0.2502 0.6679 (multiplicity 8)
Ho 0.2012 0.2501 0.7994 (multiplicity 8)
Ho 0.2173 0.0000 0.8645 (multiplicity 4)
Ho 0.2173 0.5000 0.8647 (multiplicity 4)

=====

Entry 10:
Simulated powder XRD pattern of La5Pm4Ho3 for Cu Kα X-rays, from a PBE-relaxed structure.
Lines closer than 0.1° are merged.

Main lines, by angle (2θ = 10–90°):
d [Å]	I/Imax
3.122	67.3
2.979	100.0
2.935	59.8
2.912	79.4
2.843	32.8
2.067	44.3

Lattice parameters (Å, degrees): 18.5416 5.8246 8.9623 90.00 118.53 90.00
Space group C2/m (No. 12)
Inequivalent atoms, fractional coordinates:
La 0.0000 0.0000 0.0000 (multiplicity 2)
La 0.1091 0.5000 0.4296 (multiplicity 4)
La 0.1684 0.5000 0.9124 (multiplicity 4)
Pm 0.0308 0.0000 0.7057 (multiplicity 4)
Pm 0.1982 0.0000 0.6450 (multiplicity 4)
Ho 0.0000 0.5000 0.0000 (multiplicity 2)
Ho 0.1826 0.0000 0.2246 (multiplicity 4)

=====

Entry 11:
Simulated powder XRD pattern of LaPm4Ho15 for Cu Kα X-rays, from a PBE-relaxed structure.
Lines closer than 0.1° are merged.

Main lines, by angle (2θ = 10–90°):
d [Å]	I/Imax
2.908	100.0
2.522	33.9
2.511	16.7
1.780	23.9
1.520	28.7
1.516	14.1

Lattice parameters (Å, degrees): 5.0449 5.0449 25.1120 90.00 90.00 90.00
Space group P4/mmm (No. 123)
Inequivalent atoms, fractional coordinates:
La 0.0000 0.0000 0.0000 (multiplicity 1)
Pm 0.0000 0.0000 0.2006 (multiplicity 2)
Pm 0.0000 0.0000 0.4004 (multiplicity 2)
Ho 0.0000 0.5000 0.1016 (multiplicity 4)
Ho 0.0000 0.5000 0.3008 (multiplicity 4)
Ho 0.0000 0.5000 0.5000 (multiplicity 2)
Ho 0.5000 0.5000 0.0000 (multiplicity 1)
Ho 0.5000 0.5000 0.2012 (multiplicity 2)
Ho 0.5000 0.5000 0.4003 (multiplicity 2)

=====

Entry 12:
Simulated powder XRD pattern of La8Pm3Ho2 for Cu Kα X-rays, from a PBE-relaxed structure.
Lines closer than 0.1° are merged.

Main lines, by angle (2θ = 10–90°):
d [Å]	I/Imax
3.624	26.3
3.102	39.1
2.974	38.6
2.960	48.0
2.743	100.0
1.664	22.4

Lattice parameters (Å, degrees): 20.6409 7.7404 5.9190 90.00 90.00 90.00
Space group C2/m (No. 12)
Inequivalent atoms, fractional coordinates:
La 0.1061 0.2038 0.0007 (multiplicity 8)
La 0.1350 0.5000 0.5007 (multiplicity 4)
La 0.1756 0.0000 0.5006 (multiplicity 4)
Pm 0.0000 0.2177 0.5000 (multiplicity 4)
Pm 0.0000 0.5000 0.0000 (multiplicity 2)
Ho 0.2415 0.5000 0.9998 (multiplicity 4)